Record 1
Diffraction record for NaErCuTe2. The XRD peak list is computed, not measured: it uses a crystal structure in Alexandria, relaxed with GGA-PBE and copper Kα.

Most intense lines, 2θ from 10° to 90°, sorted by position:
2theta	d_spacing	Rel. int.
11.45	7.728	100
19.55	4.540	32
24.52	3.631	43
25.91	3.438	71
29.53	3.025	44
30.47	2.934	30
32.72	2.737	46
35.67	2.517	43
44.19	2.050	36
46.40	1.957	32

Structure:
```
NaErCuTe2
1.0
7.801 0.000 0.000
0.000 4.540 0.000
-1.131 0.000 8.194
Na Er Cu Te
2 2 2 4
Direct
0.000 0.159 0.250
0.000 0.841 0.750
0.500 0.496 0.750
0.500 0.504 0.250
0.500 0.000 0.000
0.500 0.000 0.500
0.233 0.319 0.968
0.233 0.681 0.468
0.767 0.319 0.532
0.767 0.681 0.032
```


Record 2
Diffraction record for Nd2ErCu9. The XRD peak list is computed, not measured: it uses a crystal structure in Alexandria, relaxed with GGA-PBE and copper Kα.

Most intense lines, 2θ from 10° to 90°, sorted by position:
2theta	d_spacing	Rel. int.
31.65	2.827	42
34.53	2.598	34
34.67	2.587	44
40.41	2.232	35
40.84	2.210	100
60.25	1.536	13
62.08	1.495	21
66.10	1.414	13
66.32	1.409	20
73.16	1.294	19

Structure:
```
Nd2ErCu9
1.0
2.587 1.494 8.501
-2.587 1.494 8.501
0.000 -2.988 8.501
Nd Er Cu
2 1 9
Direct
0.140 0.140 0.140
0.860 0.860 0.860
0.000 0.000 0.000
0.082 0.578 0.578
0.332 0.332 0.332
0.422 0.422 0.918
0.422 0.918 0.422
0.500 0.500 0.500
0.578 0.082 0.578
0.578 0.578 0.082
0.668 0.668 0.668
0.918 0.422 0.422
```


Record 3
Diffraction record for NdYErCu. The XRD peak list is computed, not measured: it uses a crystal structure in Alexandria, relaxed with GGA-PBE and copper Kα.

Most intense lines, 2θ from 10° to 90°, sorted by position:
2theta	d_spacing	Rel. int.
10.10	8.755	13
27.36	3.260	30
30.63	2.918	17
32.69	2.739	100
36.17	2.483	51
48.11	1.891	19
52.08	1.756	18
58.94	1.567	12
62.86	1.478	30
82.50	1.169	9

Structure:
```
NdYErCu
1.0
3.512 0.000 0.000
0.000 3.512 0.000
0.000 0.000 8.755
Nd Y Er Cu
1 1 1 1
Direct
0.000 0.000 0.000
0.500 0.500 0.689
0.500 0.500 0.306
0.000 0.000 0.490
```


Record 4
Diffraction record for Er8CuNi2. The XRD peak list is computed, not measured: it uses a crystal structure in Alexandria, relaxed with GGA-PBE and copper Kα.

Most intense lines, 2θ from 10° to 90°, sorted by position:
2theta	d_spacing	Rel. int.
30.26	2.953	79
32.54	2.751	100
32.68	2.740	43
32.75	2.734	92
33.83	2.649	26
35.29	2.543	43
36.34	2.472	84
38.26	2.352	21
39.17	2.300	19
63.12	1.473	20

Structure:
```
Er8CuNi2
1.0
8.549 -2.472 0.000
8.549 2.472 0.000
-1.788 0.000 6.339
Er Cu Ni
8 1 2
Direct
0.036 0.036 0.284
0.202 0.202 0.832
0.328 0.328 0.517
0.407 0.407 0.039
0.593 0.593 0.961
0.672 0.672 0.483
0.798 0.798 0.168
0.964 0.964 0.716
0.500 0.500 0.500
0.186 0.186 0.226
0.814 0.814 0.774
```


Record 5
Diffraction record for Er2Cu5Ni4. The XRD peak list is computed, not measured: it uses a crystal structure in Alexandria, relaxed with GGA-PBE and copper Kα.

Most intense lines, 2θ from 10° to 90°, sorted by position:
2theta	d_spacing	Rel. int.
26.89	3.316	61
31.07	2.879	65
37.54	2.396	50
40.95	2.204	100
42.55	2.125	50
43.13	2.097	95
45.63	1.988	53
47.14	1.928	37
55.43	1.658	32
68.57	1.368	27

Structure:
```
Er2Cu5Ni4
1.0
0.000 4.173 7.952
2.468 0.000 7.952
2.468 4.173 0.000
Er Cu Ni
2 5 4
Direct
0.134 0.134 0.866
0.866 0.866 0.134
0.000 0.000 0.500
0.250 0.250 0.250
0.500 0.500 0.000
0.500 0.500 0.500
0.750 0.750 0.750
0.211 0.534 0.466
0.466 0.789 0.211
0.534 0.211 0.789
0.789 0.466 0.534
```


Record 6
Diffraction record for Er2Cu3Ni. The XRD peak list is computed, not measured: it uses a crystal structure in Alexandria, relaxed with GGA-PBE and copper Kα.

Most intense lines, 2θ from 10° to 90°, sorted by position:
2theta	d_spacing	Rel. int.
24.45	3.641	23
35.66	2.518	100
35.88	2.503	50
42.84	2.111	25
43.41	2.084	47
52.50	1.743	14
57.08	1.614	25
57.70	1.598	11
70.42	1.337	21
73.80	1.284	12

Structure:
```
Er2Cu3Ni
1.0
3.486 0.000 0.000
0.000 4.222 0.000
0.000 0.000 7.191
Er Cu Ni
2 3 1
Direct
0.000 0.000 0.000
0.000 0.500 0.479
0.500 0.000 0.654
0.500 0.500 0.156
0.500 0.500 0.820
0.500 0.000 0.319
```


Record 7
Diffraction record for Er2CuNi. The XRD peak list is computed, not measured: it uses a crystal structure in Alexandria, relaxed with GGA-PBE and copper Kα.

Most intense lines, 2θ from 10° to 90°, sorted by position:
2theta	d_spacing	Rel. int.
26.93	3.311	41
33.19	2.700	100
35.58	2.524	25
36.36	2.471	38
41.15	2.194	30
41.27	2.187	17
41.96	2.153	47
50.12	1.820	17
56.08	1.640	27
84.74	1.144	14

Structure:
```
Er2CuNi
1.0
5.365 0.000 0.000
0.000 4.387 0.000
-2.468 0.000 6.850
Er Cu Ni
4 2 2
Direct
0.217 0.250 0.432
0.227 0.250 0.929
0.773 0.750 0.071
0.783 0.750 0.568
0.350 0.750 0.214
0.650 0.250 0.786
0.355 0.750 0.714
0.645 0.250 0.286
```


Record 8
Diffraction record for ErCu2Ni4. The XRD peak list is computed, not measured: it uses a crystal structure in Alexandria, relaxed with GGA-PBE and copper Kα.

Most intense lines, 2θ from 10° to 90°, sorted by position:
2theta	d_spacing	Rel. int.
23.42	3.798	23
37.43	2.403	97
37.51	2.398	70
41.23	2.190	100
42.92	2.107	98
47.82	1.902	29
47.99	1.896	85
61.08	1.517	23
67.59	1.386	20
76.22	1.249	19

Structure:
```
ErCu2Ni4
1.0
3.918 -3.092 0.000
3.918 3.092 0.000
-2.937 0.000 3.807
Er Cu Ni
1 2 4
Direct
0.000 0.000 0.000
0.500 0.500 0.249
0.500 0.500 0.751
0.000 0.387 0.693
0.000 0.613 0.307
0.387 0.000 0.693
0.613 0.000 0.307
```


Record 9
Diffraction record for Er3Cu3Ni2. The XRD peak list is computed, not measured: it uses a crystal structure in Alexandria, relaxed with GGA-PBE and copper Kα.

Most intense lines, 2θ from 10° to 90°, sorted by position:
2theta	d_spacing	Rel. int.
31.52	2.839	73
34.32	2.613	100
34.94	2.568	44
36.78	2.443	35
37.26	2.413	78
38.56	2.335	87
40.90	2.206	72
41.87	2.157	71
43.88	2.063	45
56.25	1.635	37

Structure:
```
Er3Cu3Ni2
1.0
7.112 0.000 0.000
0.000 15.406 0.000
0.000 0.000 5.204
Er Cu Ni
12 12 8
Direct
0.033 0.106 0.122
0.033 0.394 0.122
0.169 0.250 0.634
0.331 0.750 0.134
0.467 0.606 0.622
0.467 0.894 0.622
0.533 0.106 0.378
0.533 0.394 0.378
0.669 0.250 0.866
0.831 0.750 0.366
0.967 0.606 0.878
0.967 0.894 0.878
0.174 0.030 0.596
0.174 0.470 0.596
0.181 0.750 0.629
0.319 0.250 0.129
0.326 0.530 0.096
0.326 0.970 0.096
0.674 0.030 0.904
0.674 0.470 0.904
0.681 0.750 0.871
0.819 0.250 0.371
0.826 0.530 0.404
0.826 0.970 0.404
0.119 0.614 0.373
0.119 0.886 0.373
0.381 0.114 0.873
0.381 0.386 0.873
0.619 0.614 0.127
0.619 0.886 0.127
0.881 0.114 0.627
0.881 0.386 0.627
```


Record 10
Diffraction record for Er12Cu6Ni. The XRD peak list is computed, not measured: it uses a crystal structure in Alexandria, relaxed with GGA-PBE and copper Kα.

Most intense lines, 2θ from 10° to 90°, sorted by position:
2theta	d_spacing	Rel. int.
23.73	3.749	21
27.22	3.276	100
29.54	3.023	27
31.83	2.812	54
34.49	2.600	77
38.32	2.349	59
39.43	2.286	59
40.60	2.222	22
56.20	1.637	44
58.36	1.581	20

Structure:
```
Er12Cu6Ni
1.0
6.047 3.491 3.891
-6.047 3.491 3.891
0.000 -6.982 3.891
Er Cu Ni
12 6 1
Direct
0.032 0.917 0.681
0.083 0.319 0.968
0.189 0.565 0.416
0.319 0.968 0.083
0.416 0.189 0.565
0.435 0.584 0.811
0.565 0.416 0.189
0.584 0.811 0.435
0.681 0.032 0.917
0.811 0.435 0.584
0.917 0.681 0.032
0.968 0.083 0.319
0.127 0.313 0.630
0.313 0.630 0.127
0.370 0.873 0.687
0.630 0.127 0.313
0.687 0.370 0.873
0.873 0.687 0.370
0.000 0.000 0.000
```


Record 11
Diffraction record for ErCuNi. The XRD peak list is computed, not measured: it uses a crystal structure in Alexandria, relaxed with GGA-PBE and copper Kα.

Most intense lines, 2θ from 10° to 90°, sorted by position:
2theta	d_spacing	Rel. int.
34.41	2.606	23
35.04	2.561	85
35.45	2.532	20
40.90	2.207	67
41.32	2.185	33
41.56	2.173	100
42.79	2.113	16
62.04	1.496	16
67.32	1.391	23
74.05	1.280	30

Structure:
```
ErCuNi
1.0
-2.532 2.606 3.610
2.532 -2.606 3.610
2.532 2.606 -3.610
Er Cu Ni
2 2 2
Direct
0.376 0.126 0.250
0.624 0.874 0.750
0.000 0.000 0.500
0.000 0.500 0.000
0.000 0.500 0.500
0.500 0.500 0.000
```


Record 12
Diffraction record for ErCu2O4. The XRD peak list is computed, not measured: it uses a crystal structure in Alexandria, relaxed with GGA-PBE and copper Kα.

Most intense lines, 2θ from 10° to 90°, sorted by position:
2theta	d_spacing	Rel. int.
18.20	4.873	16
29.06	3.073	60
32.14	2.785	52
36.74	2.446	100
36.89	2.437	21
50.18	1.818	23
54.77	1.676	28
56.66	1.624	17
59.73	1.548	21
60.24	1.536	29

Structure:
```
ErCu2O4
1.0
-2.828 2.828 4.800
2.828 -2.828 4.800
2.828 2.828 -4.800
Er Cu O
2 4 8
Direct
0.375 0.125 0.250
0.625 0.875 0.750
0.000 0.000 0.500
0.000 0.500 0.000
0.000 0.500 0.500
0.500 0.500 0.000
0.029 0.133 0.306
0.222 0.529 0.396
0.326 0.722 0.194
0.367 0.174 0.896
0.633 0.826 0.104
0.674 0.278 0.806
0.778 0.471 0.604
0.971 0.867 0.694
```